# 1
U4FeTc3: calculated PXRD pattern (copper Kα), based on the PBE geometry in Alexandria.
Intensities are scaled so that the largest is 100.

Largest 10 diffraction maxima, in order of falling intensity, 10° ≤ 2θ ≤ 80°:
36.41 deg, d 2.468, I = 100; 36.07 deg, d 2.490, I = 91; 38.08 deg, d 2.363, I = 88; 35.52 deg, d 2.527, I = 82; 40.56 deg, d 2.224, I = 69; 39.22 deg, d 2.297, I = 54; 38.96 deg, d 2.312, I = 53; 53.08 deg, d 1.725, I = 52; 54.37 deg, d 1.687, I = 44; 35.91 deg, d 2.501, I = 44

Cell and atoms:
Lattice parameters (Å, degrees): 3.3964 3.4647 12.5876 97.09 92.82 95.07
Atoms (fractional coordinates):
U: 0.1752 0.1106 0.1757
U: 0.2328 0.2312 0.4469
U: 0.7672 0.7688 0.5531
U: 0.8248 0.8894 0.8243
Fe: 0.5000 0.0000 0.0000
Tc: 0.0000 0.5000 0.0000
Tc: 0.2979 0.3331 0.6941
Tc: 0.7021 0.6669 0.3059



# 2
Be3Cu2: calculated PXRD pattern (copper Kα), based on the PBE geometry in Alexandria.
Intensities are scaled so that the largest is 100.

Largest 10 diffraction maxima, in order of falling intensity, 10° ≤ 2θ ≤ 80°:
33.14 deg, d 2.703, I = 100; 48.83 deg, d 1.865, I = 95; 47.57 deg, d 1.912, I = 53; 34.82 deg, d 2.577, I = 42; 60.28 deg, d 1.535, I = 31; 13.75 deg, d 6.442, I = 19; 69.54 deg, d 1.352, I = 16; 43.71 deg, d 2.071, I = 14; 79.23 deg, d 1.209, I = 13; 20.68 deg, d 4.295, I = 11

Cell and atoms:
Lattice parameters (Å, degrees): 2.7035 2.7035 12.8840 90.00 90.00 90.00
Atoms (fractional coordinates):
Be: 0.0000 0.0000 0.0000
Be: 0.0000 0.0000 0.2036
Be: 0.0000 0.0000 0.4087
Be: 0.0000 0.0000 0.5913
Be: 0.0000 0.0000 0.7964
Be: 0.5000 0.5000 0.5000
Cu: 0.5000 0.5000 0.1022
Cu: 0.5000 0.5000 0.3080
Cu: 0.5000 0.5000 0.6920
Cu: 0.5000 0.5000 0.8978



# 3
Ac2CuPtAu: calculated PXRD pattern (copper Kα), based on the PBE geometry in Alexandria.
Intensities are scaled so that the largest is 100.

Largest 10 diffraction maxima, in order of falling intensity, 10° ≤ 2θ ≤ 80°:
31.18 deg, d 2.869, I = 100; 33.70 deg, d 2.659, I = 63; 40.17 deg, d 2.245, I = 43; 35.95 deg, d 2.498, I = 42; 40.69 deg, d 2.217, I = 40; 29.86 deg, d 2.992, I = 33; 29.71 deg, d 3.007, I = 24; 22.15 deg, d 4.012, I = 23; 30.22 deg, d 2.957, I = 18; 54.44 deg, d 1.685, I = 17

Cell and atoms:
Lattice parameters (Å, degrees): 7.9493 4.4902 8.1506 90.00 110.23 90.00
Atoms (fractional coordinates):
Ac: 0.0704 0.2500 0.2208
Ac: 0.3701 0.7500 0.6797
Ac: 0.6299 0.2500 0.3203
Ac: 0.9296 0.7500 0.7792
Cu: 0.2887 0.2500 0.9364
Cu: 0.7113 0.7500 0.0636
Pt: 0.0852 0.2500 0.6121
Pt: 0.9148 0.7500 0.3879
Au: 0.3272 0.7500 0.1277
Au: 0.6728 0.2500 0.8723



# 4
Ca3HfPd4: calculated PXRD pattern (copper Kα), based on the PBE geometry in Alexandria.
Intensities are scaled so that the largest is 100.

Largest 10 diffraction maxima, in order of falling intensity, 10° ≤ 2θ ≤ 80°:
36.22 deg, d 2.480, I = 100; 36.92 deg, d 2.435, I = 53; 66.06 deg, d 1.414, I = 33; 12.38 deg, d 7.152, I = 24; 53.21 deg, d 1.722, I = 18; 64.68 deg, d 1.441, I = 13; 18.61 deg, d 4.768, I = 13; 52.04 deg, d 1.757, I = 9; 46.32 deg, d 1.960, I = 9; 76.87 deg, d 1.240, I = 8

Cell and atoms:
Lattice parameters (Å, degrees): 3.4431 3.4431 14.3034 90.00 90.00 90.00
Atoms (fractional coordinates):
Ca: 0.0000 0.0000 0.0000
Ca: 0.0000 0.0000 0.2525
Ca: 0.0000 0.0000 0.7475
Hf: 0.0000 0.0000 0.5000
Pd: 0.5000 0.5000 0.1272
Pd: 0.5000 0.5000 0.3993
Pd: 0.5000 0.5000 0.6007
Pd: 0.5000 0.5000 0.8728



# 5
LaLu3S6: calculated PXRD pattern (copper Kα), based on the PBE geometry in Alexandria.
Intensities are scaled so that the largest is 100.

Largest 10 diffraction maxima, in order of falling intensity, 10° ≤ 2θ ≤ 80°:
24.33 deg, d 3.658, I = 100; 27.74 deg, d 3.216, I = 94; 23.80 deg, d 3.739, I = 75; 42.56 deg, d 2.124, I = 74; 26.44 deg, d 3.371, I = 71; 31.21 deg, d 2.866, I = 69; 45.89 deg, d 1.977, I = 48; 34.44 deg, d 2.604, I = 46; 44.29 deg, d 2.045, I = 38; 46.68 deg, d 1.946, I = 34

Cell and atoms:
Lattice parameters (Å, degrees): 10.9750 3.9549 11.2183 90.00 108.99 90.00
Atoms (fractional coordinates):
La: 0.0518 0.2500 0.1967
La: 0.9482 0.7500 0.8033
Lu: 0.1610 0.2500 0.5888
Lu: 0.3216 0.7500 0.9998
Lu: 0.4463 0.2500 0.3339
Lu: 0.5537 0.7500 0.6661
Lu: 0.6784 0.2500 0.0002
Lu: 0.8390 0.7500 0.4112
S: 0.0820 0.7500 0.4100
S: 0.1230 0.2500 0.9635
S: 0.2001 0.7500 0.7487
S: 0.2722 0.7500 0.2309
S: 0.3921 0.2500 0.5559
S: 0.4777 0.2500 0.1110
S: 0.5223 0.7500 0.8890
S: 0.6079 0.7500 0.4441
S: 0.7278 0.2500 0.7691
S: 0.7999 0.2500 0.2513
S: 0.8770 0.7500 0.0365
S: 0.9180 0.2500 0.5900



# 6
Dy4RhSe2: calculated PXRD pattern (copper Kα), based on the PBE geometry in Alexandria.
Intensities are scaled so that the largest is 100.

Largest 10 diffraction maxima, in order of falling intensity, 10° ≤ 2θ ≤ 80°:
28.65 deg, d 3.116, I = 100; 31.62 deg, d 2.830, I = 73; 33.51 deg, d 2.674, I = 57; 40.19 deg, d 2.244, I = 49; 56.32 deg, d 1.634, I = 38; 47.41 deg, d 1.918, I = 37; 30.96 deg, d 2.888, I = 37; 45.59 deg, d 1.990, I = 26; 27.82 deg, d 3.206, I = 24; 67.88 deg, d 1.381, I = 22

Cell and atoms:
Lattice parameters (Å, degrees): 6.8577 6.8577 14.1464 90.00 90.00 147.52
Atoms (fractional coordinates):
Dy: 0.0000 0.0000 0.0000
Dy: 0.0000 0.0000 0.5000
Dy: 0.2944 0.7056 0.6286
Dy: 0.2944 0.7056 0.8714
Dy: 0.4525 0.5475 0.2500
Dy: 0.5475 0.4525 0.7500
Dy: 0.7056 0.2944 0.1286
Dy: 0.7056 0.2944 0.3714
Rh: 0.1055 0.8945 0.2500
Rh: 0.8945 0.1055 0.7500
Se: 0.3581 0.6419 0.0657
Se: 0.3581 0.6419 0.4343
Se: 0.6419 0.3581 0.5657
Se: 0.6419 0.3581 0.9343



# 7
USBr3: calculated PXRD pattern (copper Kα), based on the PBE geometry in Alexandria.
Intensities are scaled so that the largest is 100.

Largest 10 diffraction maxima, in order of falling intensity, 10° ≤ 2θ ≤ 80°:
10.48 deg, d 8.445, I = 100; 15.37 deg, d 5.764, I = 23; 32.00 deg, d 2.797, I = 14; 31.06 deg, d 2.880, I = 13; 33.31 deg, d 2.690, I = 12; 16.49 deg, d 5.375, I = 12; 23.85 deg, d 3.731, I = 11; 23.95 deg, d 3.715, I = 10; 22.40 deg, d 3.968, I = 10; 45.19 deg, d 2.006, I = 10

Cell and atoms:
Lattice parameters (Å, degrees): 8.5174 11.1850 12.8107 90.00 96.19 90.00
Atoms (fractional coordinates):
U: 0.0817 0.1400 0.1131
U: 0.0817 0.8600 0.6131
U: 0.9183 0.1400 0.3869
U: 0.9183 0.8600 0.8869
S: 0.1804 0.1304 0.3079
S: 0.1804 0.8696 0.8079
S: 0.8196 0.1304 0.1921
S: 0.8196 0.8696 0.6921
Br: 0.0701 0.3751 0.0998
Br: 0.0701 0.6249 0.5998
Br: 0.0711 0.1190 0.5965
Br: 0.0711 0.8810 0.0965
Br: 0.3693 0.1336 0.0528
Br: 0.3693 0.8664 0.5528
Br: 0.6307 0.1336 0.4472
Br: 0.6307 0.8664 0.9472
Br: 0.9289 0.1190 0.9035
Br: 0.9289 0.8810 0.4035
Br: 0.9299 0.3751 0.4002
Br: 0.9299 0.6249 0.9002



# 8
Ba3PaPd2O8: calculated PXRD pattern (copper Kα), based on the PBE geometry in Alexandria.
Intensities are scaled so that the largest is 100.

Largest 10 diffraction maxima, in order of falling intensity, 10° ≤ 2θ ≤ 80°:
29.55 deg, d 3.023, I = 100; 27.86 deg, d 3.202, I = 94; 41.06 deg, d 2.198, I = 45; 51.39 deg, d 1.778, I = 36; 48.21 deg, d 1.888, I = 22; 52.42 deg, d 1.745, I = 20; 10.93 deg, d 8.095, I = 19; 57.56 deg, d 1.601, I = 18; 66.02 deg, d 1.415, I = 18; 61.33 deg, d 1.512, I = 16

Cell and atoms:
Lattice parameters (Å, degrees): 6.0463 6.0463 8.0951 90.00 90.00 120.00
Atoms (fractional coordinates):
Ba: 0.0000 0.0000 0.0000
Ba: 0.3333 0.6667 0.6366
Ba: 0.6667 0.3333 0.3634
Pa: 0.0000 0.0000 0.5000
Pd: 0.3333 0.6667 0.1835
Pd: 0.6667 0.3333 0.8165
O: 0.1667 0.3334 0.3435
O: 0.1667 0.8333 0.3435
O: 0.3334 0.1667 0.6565
O: 0.3333 0.6667 0.9476
O: 0.6667 0.3333 0.0524
O: 0.6666 0.8333 0.3435
O: 0.8333 0.1667 0.6565
O: 0.8333 0.6666 0.6565